# TaTiP3O12
Theoretical powder XRD pattern, Cu Kα, 1.54184 Å. Input: the GGA-PBE geometry in the Materials Project.
Lines closer than 0.1° are merged.

Most intense lines, 2θ = 10–90°, low angle first:
Position (°2θ)	d/Å	I/Imax
14.2	6.220	97
20.0	4.440	100
20.4	4.357	71
23.8	3.744	45
28.7	3.110	60
31.9	2.803	46
35.5	2.531	33
35.7	2.516	24
45.9	1.978	23
52.6	1.740	20

Cell and atoms:
abc: 8.883 8.883 8.883
angles: 58.75 58.75 58.75
Sites, in units of the cell vectors:
Ta 0.000 0.000 0.000
Ta 0.500 0.500 0.500
Ti 0.221 0.221 0.221
Ti 0.721 0.721 0.721
P 0.107 0.831 0.396
P 0.331 0.607 0.896
P 0.396 0.107 0.831
P 0.607 0.896 0.331
P 0.831 0.396 0.107
P 0.896 0.331 0.607
O 0.073 0.299 0.438
O 0.079 0.859 0.224
O 0.146 0.997 0.362
O 0.149 0.782 0.919
O 0.224 0.079 0.859
O 0.282 0.649 0.419
O 0.299 0.438 0.073
O 0.359 0.579 0.724
O 0.362 0.146 0.997
O 0.419 0.282 0.649
O 0.438 0.073 0.299
O 0.497 0.646 0.862
O 0.573 0.938 0.799
O 0.579 0.724 0.359
O 0.646 0.862 0.497
O 0.649 0.419 0.282
O 0.724 0.359 0.579
O 0.782 0.919 0.149
O 0.799 0.573 0.938
O 0.859 0.224 0.079
O 0.862 0.497 0.646
O 0.919 0.149 0.782
O 0.938 0.799 0.573
O 0.997 0.362 0.146